# 1
Calculated XRD peak list of Tm2Al3Ga for Cu Kα X-rays, from a structure optimized by DFT (PBE).
Lines closer than 0.1° are merged.

Peak list (10 most intense, 15 to 90 degrees two-theta, by angle)
2θ/deg, d (Å), I (rel.)
21.61, 4.113, 14.8
23.05, 3.858, 15.9
23.53, 3.780, 23.3
27.36, 3.260, 25.5
28.53, 3.129, 21.8
32.91, 2.721, 100.0
36.39, 2.469, 27.2
37.31, 2.410, 17.6
42.29, 2.137, 17.2
47.89, 1.900, 16.5

Atomic structure:
Lattice parameters (Å, degrees): 3.9903 4.2739 15.1205 90.00 90.00 90.00
Atoms (fractional coordinates):
Tm  0.0000  0.0000  0.0000
Tm  0.0000  0.5000  0.2636
Tm  0.5000  0.0000  0.7636
Tm  0.5000  0.5000  0.5000
Al  0.0000  0.0000  0.5894
Al  0.0000  0.5000  0.6744
Al  0.0000  0.5000  0.8393
Al  0.5000  0.0000  0.1744
Al  0.5000  0.0000  0.3393
Al  0.5000  0.5000  0.0894
Ga  0.0000  0.0000  0.4279
Ga  0.5000  0.5000  0.9279

---

# 2
Calculated XRD peak list of Tm3Al3Ga2 for Cu Kα X-rays, from a structure optimized by DFT (PBE).
Lines closer than 0.1° are merged.

Peak list (10 most intense, 15 to 90 degrees two-theta, by angle)
2θ/deg, d (Å), I (rel.)
22.43, 3.964, 19.3
22.58, 3.937, 61.6
25.14, 3.542, 46.4
30.53, 2.928, 20.7
30.93, 2.891, 22.3
34.43, 2.605, 100.0
35.37, 2.538, 31.1
36.93, 2.434, 59.7
41.83, 2.159, 35.0
44.71, 2.027, 26.8

Atomic structure:
Lattice parameters (Å, degrees): 16.8674 4.0537 5.1076 90.00 101.06 90.00
Atoms (fractional coordinates):
Tm  0.0000  0.0000  0.0000
Tm  0.1453  0.0000  0.5810
Tm  0.3547  0.5000  0.4190
Tm  0.5000  0.5000  0.0000
Tm  0.6453  0.5000  0.5810
Tm  0.8547  0.0000  0.4190
Al  0.0000  0.5000  0.5000
Al  0.1357  0.5000  0.0753
Al  0.3643  0.0000  0.9247
Al  0.5000  0.0000  0.5000
Al  0.6357  0.0000  0.0753
Al  0.8643  0.5000  0.9247
Ga  0.2376  0.0000  0.1728
Ga  0.2624  0.5000  0.8272
Ga  0.7376  0.5000  0.1728
Ga  0.7624  0.0000  0.8272

---

# 3
Calculated XRD peak list of Tm3Al4Ga2 for Cu Kα X-rays, from a structure optimized by DFT (PBE).
Lines closer than 0.1° are merged.

Peak list (10 most intense, 15 to 90 degrees two-theta, by angle)
2θ/deg, d (Å), I (rel.)
22.92, 3.881, 61.4
34.76, 2.581, 100.0
34.78, 2.579, 20.0
40.25, 2.241, 57.8
46.82, 1.940, 9.6
54.21, 1.692, 33.4
58.49, 1.578, 10.0
68.60, 1.368, 23.2
69.63, 1.350, 26.1
88.59, 1.104, 8.5

Atomic structure:
Lattice parameters (Å, degrees): 5.6599 5.6599 8.4919 112.23 112.23 46.66
Atoms (fractional coordinates):
Tm  0.0000  0.0000  0.0000
Tm  0.3295  0.3295  0.3377
Tm  0.6705  0.6705  0.6623
Al  0.0432  0.0432  0.3769
Al  0.2699  0.2699  0.9357
Al  0.7301  0.7301  0.0643
Al  0.9568  0.9568  0.6231
Ga  0.3905  0.3905  0.7230
Ga  0.6095  0.6095  0.2770

---

# 4
Calculated XRD peak list of YTmAlGa for Cu Kα X-rays, from a structure optimized by DFT (PBE).
Lines closer than 0.1° are merged.

Peak list (10 most intense, 15 to 90 degrees two-theta, by angle)
2θ/deg, d (Å), I (rel.)
21.90, 4.058, 38.2
27.42, 3.253, 33.6
31.18, 2.868, 100.0
31.97, 2.799, 49.7
32.80, 2.731, 29.0
39.12, 2.303, 48.5
39.82, 2.264, 19.1
41.24, 2.189, 24.6
44.76, 2.025, 19.5
56.06, 1.641, 20.0

Atomic structure:
Lattice parameters (Å, degrees): 4.0495 4.3777 10.9224 90.00 90.00 90.00
Atoms (fractional coordinates):
Y  0.0000  0.0000  0.0000
Y  0.0000  0.5000  0.5000
Tm  0.5000  0.0000  0.2806
Tm  0.5000  0.5000  0.7806
Al  0.0000  0.0000  0.7133
Al  0.0000  0.5000  0.2133
Ga  0.5000  0.0000  0.5623
Ga  0.5000  0.5000  0.0623